[1]
Computed X-ray powder pattern of GeH6CN3Cl3 for λ = 1.5418 Å (Cu Kα), from a crystal structure in Alexandria, relaxed with PBE.

Principal peaks in the range 10° ≤ 2θ ≤ 90°, by angle:
2theta  d_spacing  I_rel  index
11.71  7.557  99  1 0 0
11.84  7.476  97  0 0 2
11.95  7.406  100  1 0 -2
15.44  5.738  23  1 1 -1
23.17  3.838  25  0 2 0
26.29  3.390  49  2 1 0
26.52  3.361  30  0 1 4
26.73  3.335  33  2 1 -4
28.00  3.187  23  1 2 1
33.62  2.665  23  2 2 -4

Atomic structure:
```
data_GeH6CN3Cl3
_symmetry_space_group_name_H-M 'P 1 21/c 1'
_symmetry_Int_Tables_number 14
_symmetry_space_group_name_Hall '-P 2ybc'
_cell_length_a 8.642
_cell_length_b 7.677
_cell_length_c 17.097
_cell_angle_alpha 90.00
_cell_angle_beta 119.01
_cell_angle_gamma 90.00
loop_
_atom_site_label
_atom_site_type_symbol
_atom_site_fract_x
_atom_site_fract_y
_atom_site_fract_z
Ge1 Ge 0.028 0.073 0.259
H1 H 0.075 0.731 0.470
H2 H 0.077 0.725 0.572
H3 H 0.345 0.711 0.968
H4 H 0.353 0.679 0.705
H5 H 0.452 0.228 0.796
H6 H 0.455 0.248 0.436
C1 C 0.324 0.731 0.580
N1 N 0.147 0.726 0.538
N2 N 0.410 0.746 0.034
N3 N 0.415 0.710 0.669
Cl1 Cl 0.149 0.240 0.182
Cl2 Cl 0.152 0.245 0.890
Cl3 Cl 0.276 0.625 0.820
```



[2]
Computed X-ray powder pattern of HgH4C2N4Cl2 for λ = 1.5418 Å (Cu Kα), from a crystal structure in Alexandria, relaxed with PBE.

Principal peaks in the range 10° ≤ 2θ ≤ 90°, by angle:
2theta  d_spacing  I_rel  index
12.01  7.370  100  0 0 1
13.11  6.751  69  0 1 0
16.29  5.441  50  0 1 1
19.23  4.616  41  0 1 -1
21.55  4.124  32  1 0 0
24.15  3.685  46  0 0 2
25.09  3.549  27  1 1 0
25.55  3.486  27  0 1 2
26.87  3.318  27  1 1 1
34.63  2.590  31  1 -2 0

Atomic structure:
```
data_HgH4C2N4Cl2
_symmetry_space_group_name_H-M 'P 1'
_symmetry_Int_Tables_number 1
_symmetry_space_group_name_Hall 'P 1'
_cell_length_a 4.125
_cell_length_b 6.845
_cell_length_c 7.471
_cell_angle_alpha 80.58
_cell_angle_beta 89.49
_cell_angle_gamma 88.85
loop_
_atom_site_label
_atom_site_type_symbol
_atom_site_fract_x
_atom_site_fract_y
_atom_site_fract_z
Hg1 Hg 0.000 0.000 0.000
H1 H 0.104 0.374 0.678
H2 H 0.171 0.601 0.753
H3 H 0.680 0.573 0.285
H4 H 0.836 0.358 0.419
C1 C 0.924 0.618 0.511
C2 C 0.953 0.942 0.571
N1 N 0.014 0.075 0.649
N2 N 0.085 0.526 0.657
N3 N 0.810 0.508 0.394
N4 N 0.869 0.815 0.472
Cl1 Cl 0.371 0.728 0.010
Cl2 Cl 0.609 0.240 0.056
```



[3]
Computed X-ray powder pattern of Hg2H10C3NCl5 for λ = 1.5418 Å (Cu Kα), from a crystal structure in Alexandria, relaxed with PBE.

Principal peaks in the range 10° ≤ 2θ ≤ 90°, by angle:
2theta  d_spacing  I_rel  index
11.13  7.950  65  0 1 -1
14.65  6.047  32  1 0 -1
18.52  4.791  38  0 2 -1
20.35  4.364  46  -1 1 2
20.57  4.317  42  0 2 1
22.32  3.982  29  1 1 1
24.26  3.668  39  0 0 3
24.64  3.614  67  0 1 -3
28.43  3.139  100  2 0 -1
35.02  2.563  33  0 2 -4

Atomic structure:
```
data_Hg2H10C3NCl5
_symmetry_space_group_name_H-M 'P -1'
_symmetry_Int_Tables_number 2
_symmetry_space_group_name_Hall '-P 1'
_cell_length_a 6.359
_cell_length_b 10.176
_cell_length_c 11.515
_cell_angle_alpha 95.22
_cell_angle_beta 105.21
_cell_angle_gamma 98.93
loop_
_atom_site_label
_atom_site_type_symbol
_atom_site_fract_x
_atom_site_fract_y
_atom_site_fract_z
Hg1 Hg 0.085 0.395 0.172
Hg2 Hg 0.310 0.634 0.571
H1 H 0.104 0.067 0.699
H2 H 0.172 0.241 0.681
H3 H 0.268 0.115 0.598
H4 H 0.274 0.137 0.923
H5 H 0.316 0.948 0.135
H6 H 0.346 0.307 0.896
H7 H 0.405 0.957 0.813
H8 H 0.442 0.767 0.230
H9 H 0.442 0.777 0.024
H10 H 0.447 0.999 0.295
C1 C 0.230 0.145 0.683
C2 C 0.401 0.211 0.904
C3 C 0.473 0.967 0.207
N1 N 0.437 0.160 0.786
Cl1 Cl 0.004 0.842 0.874
Cl2 Cl 0.100 0.626 0.151
Cl3 Cl 0.184 0.401 0.432
Cl4 Cl 0.327 0.831 0.473
Cl5 Cl 0.413 0.575 0.779
```



[4]
Computed X-ray powder pattern of H10IrC2Cl3O3 for λ = 1.5418 Å (Cu Kα), from a crystal structure in Alexandria, relaxed with PBE.

Principal peaks in the range 10° ≤ 2θ ≤ 90°, by angle:
2theta  d_spacing  I_rel  index
12.28  7.206  48  0 1 0
12.53  7.062  52  1 0 0
13.62  6.502  100  0 1 1
13.96  6.343  87  1 0 1
16.98  5.222  84  1 -1 0
18.61  4.767  24  0 1 -1
21.41  4.151  20  0 0 2
27.38  3.257  21  2 -1 0
28.15  3.170  26  2 -1 1
34.36  2.610  21  2 -2 0

Atomic structure:
```
data_H10IrC2Cl3O3
_symmetry_space_group_name_H-M 'P -1'
_symmetry_Int_Tables_number 2
_symmetry_space_group_name_Hall '-P 1'
_cell_length_a 7.369
_cell_length_b 7.563
_cell_length_c 9.068
_cell_angle_alpha 72.73
_cell_angle_beta 73.84
_cell_angle_gamma 88.71
loop_
_atom_site_label
_atom_site_type_symbol
_atom_site_fract_x
_atom_site_fract_y
_atom_site_fract_z
H1 H 0.005 0.372 0.271
H2 H 0.076 0.337 0.846
H3 H 0.080 0.675 0.274
H4 H 0.170 0.730 0.059
H5 H 0.195 0.827 0.498
H6 H 0.196 0.976 0.782
H7 H 0.252 0.619 0.524
H8 H 0.332 0.735 0.700
H9 H 0.378 0.982 0.879
H10 H 0.437 0.048 0.664
Ir1 Ir 0.367 0.349 0.193
C1 C 0.068 0.643 0.166
C2 C 0.346 0.956 0.777
Cl1 Cl 0.196 0.059 0.279
Cl2 Cl 0.293 0.360 0.459
Cl3 Cl 0.456 0.357 0.916
O1 O 0.106 0.451 0.176
O2 O 0.206 0.711 0.581
O3 O 0.376 0.762 0.788
```



[5]
Computed X-ray powder pattern of KPH12PtC2N2Cl2O4 for λ = 1.5418 Å (Cu Kα), from a crystal structure in Alexandria, relaxed with PBE.

Principal peaks in the range 10° ≤ 2θ ≤ 90°, by angle:
2theta  d_spacing  I_rel  index
10.10  8.761  100  0 1 0
10.62  8.332  59  0 0 1
14.14  6.265  25  0 1 1
15.19  5.834  76  0 1 -1
21.87  4.065  31  2 0 1
22.24  3.997  21  0 2 1
22.99  3.869  57  2 0 0
24.72  3.602  26  2 1 0
30.37  2.943  20  1 0 3
30.61  2.920  22  0 3 0

Atomic structure:
```
data_KPH12PtC2N2Cl2O4
_symmetry_space_group_name_H-M 'P -1'
_symmetry_Int_Tables_number 2
_symmetry_space_group_name_Hall '-P 1'
_cell_length_a 8.231
_cell_length_b 8.809
_cell_length_c 8.876
_cell_angle_alpha 84.70
_cell_angle_beta 70.23
_cell_angle_gamma 85.68
loop_
_atom_site_label
_atom_site_type_symbol
_atom_site_fract_x
_atom_site_fract_y
_atom_site_fract_z
K1 K 0.069 0.283 0.427
P1 P 0.320 0.712 0.737
H1 H 0.106 0.685 0.003
H2 H 0.116 0.932 0.775
H3 H 0.251 0.401 0.665
H4 H 0.272 0.538 0.971
H5 H 0.276 0.596 0.441
H6 H 0.292 0.950 0.591
H7 H 0.305 0.700 0.155
H8 H 0.313 0.126 0.767
H9 H 0.360 0.298 0.528
H10 H 0.360 0.472 0.320
H11 H 0.467 0.732 0.986
H12 H 0.475 0.997 0.747
Pt1 Pt 0.281 0.982 0.043
C1 C 0.246 0.662 0.954
C2 C 0.257 0.915 0.720
N1 N 0.334 0.747 0.038
N2 N 0.343 0.012 0.796
Cl1 Cl 0.213 0.952 0.322
Cl2 Cl 0.224 0.245 0.051
O1 O 0.223 0.623 0.658
O2 O 0.265 0.295 0.633
O3 O 0.269 0.557 0.342
O4 O 0.483 0.303 0.323
```